Li2H5Pt2: theoretical X-ray diffraction stick pattern (Cu Ka), based on a cell relaxed with PBE.

Crystal structure
abc: 7.7703 7.7703 4.7890
angles: 107.68 107.68 35.71
Sites, in units of the cell vectors:
Li  0.1338  0.1338  0.1236
Li  0.3659  0.3659  0.3551
Li  0.6341  0.6341  0.6449
Li  0.8662  0.8662  0.8764
H  0.0000  0.5000  0.0000
H  0.1259  0.1259  0.5648
H  0.2281  0.7264  0.2276
H  0.2736  0.7719  0.7724
H  0.3745  0.3745  0.8170
H  0.5000  0.0000  0.0000
H  0.6255  0.6255  0.1830
H  0.7264  0.2281  0.2276
H  0.7719  0.2736  0.7724
H  0.8741  0.8741  0.4352
Pt  0.0000  0.0000  0.5000
Pt  0.2500  0.2500  0.7131
Pt  0.5000  0.5000  0.0000
Pt  0.7500  0.7500  0.2869

Principal peaks in the range 2θ = 15–90°, in order of rising 2θ:
d_spacing	I/Imax
3.505	56
3.378	100
2.436	45
2.428	45
2.394	20
2.382	22
1.971	32
1.689	15
1.411	13
1.386	14



LiH3Pt: theoretical X-ray diffraction stick pattern (Cu Ka), based on a cell relaxed with PBE.

Crystal structure
abc: 6.4998 6.4998 6.4998
angles: 60.00 60.00 60.00
Sites, in units of the cell vectors:
Li  0.0000  0.0000  0.0000
Li  0.0000  0.0000  0.5000
Li  0.0000  0.5000  0.0000
Li  0.5000  0.0000  0.0000
H  0.1719  0.1719  0.5781
H  0.1719  0.5781  0.1719
H  0.1719  0.5781  0.5781
H  0.4219  0.4219  0.8281
H  0.4219  0.8281  0.4219
H  0.4219  0.8281  0.8281
H  0.5781  0.1719  0.1719
H  0.5781  0.1719  0.5781
H  0.5781  0.5781  0.1719
H  0.8281  0.4219  0.4219
H  0.8281  0.4219  0.8281
H  0.8281  0.8281  0.4219
Pt  0.0000  0.5000  0.5000
Pt  0.5000  0.0000  0.5000
Pt  0.5000  0.5000  0.0000
Pt  0.5000  0.5000  0.5000

Principal peaks in the range 2θ = 15–90°, in order of rising 2θ:
d_spacing	I/Imax
5.307	100
2.772	60
2.654	79
2.298	38
2.109	27
1.769	22
1.625	28
1.554	22
1.386	33
1.197	14



LiPuH6Pt: theoretical X-ray diffraction stick pattern (Cu Ka), based on a cell relaxed with PBE.

Crystal structure
abc: 4.5187 4.5187 4.4057
angles: 90.00 90.00 120.00
Sites, in units of the cell vectors:
Li  0.0000  0.0000  0.0000
Pu  0.6667  0.3333  0.5000
H  0.1738  0.3475  0.2773
H  0.1738  0.3475  0.7227
H  0.1738  0.8262  0.2773
H  0.1738  0.8262  0.7227
H  0.6525  0.8262  0.2773
H  0.6525  0.8262  0.7227
Pt  0.3333  0.6667  0.0000

Principal peaks in the range 2θ = 15–90°, in order of rising 2θ:
d_spacing	I/Imax
3.913	33
2.926	100
2.259	33
2.203	10
1.920	10
1.788	25
1.577	23
1.402	22
1.375	11
1.122	8



Rb2LiH6Pt: theoretical X-ray diffraction stick pattern (Cu Ka), based on a cell relaxed with PBE.

Crystal structure
abc: 6.0321 6.0321 5.0726
angles: 90.00 90.00 120.00
Sites, in units of the cell vectors:
Rb  0.3333  0.6667  0.2675
Rb  0.6667  0.3333  0.7325
Li  0.0000  0.0000  0.0000
H  0.1319  0.2638  0.6984
H  0.1319  0.8681  0.6984
H  0.2638  0.1319  0.3016
H  0.7362  0.8681  0.6984
H  0.8681  0.1319  0.3016
H  0.8681  0.7362  0.3016
Pt  0.0000  0.0000  0.5000

Principal peaks in the range 2θ = 15–90°, in order of rising 2θ:
d_spacing	I/Imax
5.224	28
5.073	30
3.639	100
3.016	78
2.592	32
2.322	31
2.282	42
1.840	29
1.820	22
1.558	26



LiSbHPtSe: theoretical X-ray diffraction stick pattern (Cu Ka), based on a cell relaxed with PBE.

Crystal structure
abc: 3.5295 3.8998 12.7762
angles: 90.00 90.00 90.00
Sites, in units of the cell vectors:
Li  0.0000  0.0000  0.0000
Li  0.0000  0.5000  0.5000
Sb  0.5000  0.0000  0.1935
Sb  0.5000  0.5000  0.6935
H  0.0000  0.0000  0.8239
H  0.0000  0.5000  0.3239
Pt  0.5000  0.0000  0.8315
Pt  0.5000  0.5000  0.3315
Se  0.5000  0.0000  0.4706
Se  0.5000  0.5000  0.9706

Principal peaks in the range 2θ = 15–90°, in order of rising 2θ:
d_spacing	I/Imax
3.530	95
3.089	24
2.876	98
2.230	100
2.137	24
1.950	19
1.828	28
1.823	16
1.707	24
1.504	28



LiSbHPtSe: theoretical X-ray diffraction stick pattern (Cu Ka), based on a cell relaxed with PBE.

Crystal structure
abc: 4.0482 4.0528 7.0609
angles: 105.28 95.87 111.06
Sites, in units of the cell vectors:
Li  0.0000  0.0000  0.0000
Sb  0.2425  0.4719  0.7125
H  0.3813  0.8567  0.2370
Pt  0.8249  0.7637  0.5854
Se  0.5861  0.6141  0.2008

Principal peaks in the range 2θ = 15–90°, in order of rising 2θ:
d_spacing	I/Imax
3.575	100
3.322	88
2.793	27
2.481	33
2.293	32
2.236	23
2.116	47
1.946	37
1.887	43
1.684	20



LiHPtSe: theoretical X-ray diffraction stick pattern (Cu Ka), based on a cell relaxed with PBE.

Crystal structure
abc: 3.9294 3.5386 4.5545
angles: 90.00 115.41 90.00
Sites, in units of the cell vectors:
Li  0.0000  0.0000  0.0000
H  0.6747  0.0000  0.3442
Pt  0.6756  0.5000  0.3475
Se  0.3737  0.5000  0.7484

Principal peaks in the range 2θ = 15–90°, in order of rising 2θ:
d_spacing	I/Imax
4.114	18
3.542	100
2.683	14
2.505	41
2.249	31
1.965	11
1.898	34
1.778	12
1.718	13
1.391	13



LiHPtSe: theoretical X-ray diffraction stick pattern (Cu Ka), based on a cell relaxed with PBE.

Crystal structure
abc: 4.5239 2.8616 5.0212
angles: 90.00 114.10 90.00
Sites, in units of the cell vectors:
Li  0.0000  0.0000  0.0000
H  0.1698  0.0000  0.4569
Pt  0.9820  0.5000  0.4982
Se  0.5008  0.5000  0.9939

Principal peaks in the range 2θ = 15–90°, in order of rising 2θ:
d_spacing	I/Imax
4.583	22
4.130	21
3.981	100
2.862	43
2.587	33
2.324	52
2.292	25
1.919	29
1.789	22
1.674	26



LiTlH6Pt: theoretical X-ray diffraction stick pattern (Cu Ka), based on a cell relaxed with PBE.

Crystal structure
abc: 4.8679 4.8679 5.4062
angles: 90.00 90.00 120.00
Sites, in units of the cell vectors:
Li  0.0000  0.0000  0.0000
Tl  0.6667  0.3333  0.5000
H  0.0594  0.3930  0.1806
H  0.0594  0.6664  0.8194
H  0.3336  0.3930  0.8194
H  0.3336  0.9406  0.1806
H  0.6070  0.6664  0.1806
H  0.6070  0.9406  0.8194
Pt  0.3333  0.6667  0.0000

Principal peaks in the range 2θ = 15–90°, in order of rising 2θ:
d_spacing	I/Imax
4.216	28
3.324	100
2.703	13
2.434	29
2.276	11
1.964	23
1.809	25
1.657	14
1.528	21
1.194	10



Li2TlHPt: theoretical X-ray diffraction stick pattern (Cu Ka), based on a cell relaxed with PBE.

Crystal structure
abc: 4.2853 4.2853 3.6888
angles: 90.00 90.00 90.00
Sites, in units of the cell vectors:
Li  0.0000  0.5000  0.0000
Li  0.5000  0.0000  0.0000
Tl  0.0000  0.0000  0.5000
H  0.5000  0.5000  0.0000
Pt  0.5000  0.5000  0.5000

Principal peaks in the range 2θ = 15–90°, in order of rising 2θ:
d_spacing	I/Imax
3.689	74
3.030	92
2.341	100
2.143	39
1.853	45
1.575	27
1.401	18
1.398	20
1.272	30
1.092	18



RbLi2H: theoretical X-ray diffraction stick pattern (Cu Ka), based on a cell relaxed with PBE.

Crystal structure
abc: 6.6955 6.6955 9.5110
angles: 90.00 90.00 90.00
Sites, in units of the cell vectors:
Rb  0.0000  0.2500  0.3750
Rb  0.0000  0.7500  0.6250
Rb  0.5000  0.2500  0.1250
Rb  0.5000  0.7500  0.8750
Li  0.0000  0.0000  0.0000
Li  0.0000  0.5000  0.0000
Li  0.2500  0.2500  0.7500
Li  0.2500  0.7500  0.2500
Li  0.5000  0.0000  0.5000
Li  0.5000  0.5000  0.5000
Li  0.7500  0.2500  0.7500
Li  0.7500  0.7500  0.2500
H  0.0000  0.2500  0.8750
H  0.0000  0.7500  0.1250
H  0.5000  0.2500  0.6250
H  0.5000  0.7500  0.3750

Principal peaks in the range 2θ = 15–90°, in order of rising 2θ:
d_spacing	I/Imax
5.475	81
3.353	100
2.865	24
2.856	47
2.176	23
1.939	13
1.934	27
1.823	19
1.602	12
1.266	13